1.
Starting from DFT lattice parameters and positions (PBE), the powder diffractogram of PuCd2Cu was computed for Cu Kα (λ = 1.5418 Å).

Crystal structure
a = 3.0690 Å, b = 3.0690 Å, c = 8.6579 Å
α = 90.00°, β = 90.00°, γ = 90.00°
Space group P4/mmm (No. 123)
Inequivalent atoms, fractional coordinates:
Pu 0.0000 0.0000 0.0000
Cd 0.5000 0.5000 0.2961
Cu 0.0000 0.0000 0.5000

Main lines, in order of rising 2θ (2θ = 10–90°):
2θ (°)  d_spacing  intensity  (hkl)
10.22  8.658  17  0 0 1
30.94  2.890  49  0 0 3
35.87  2.504  100  1 0 2
41.62  2.170  38  1 1 0
60.36  1.533  26  2 0 0
72.21  1.308  25  2 1 2

=====

2.
Starting from DFT lattice parameters and positions (PBE), the powder diffractogram of Rb2Cd2Cu was computed for Cu Kα (λ = 1.5418 Å).

Crystal structure
a = 4.2168 Å, b = 4.2168 Å, c = 21.7827 Å
α = 90.00°, β = 90.00°, γ = 90.00°
Space group I4/mmm (No. 139)
Inequivalent atoms, fractional coordinates:
Rb 0.0000 0.0000 0.0950
Cd 0.0000 0.5000 0.2500
Cu 0.0000 0.0000 0.5000

Main lines, in order of rising 2θ (2θ = 10–90°):
2θ (°)  d_spacing  intensity  (hkl)
24.52  3.630  35  0 0 6
29.48  3.030  51  1 0 5
31.10  2.876  100  1 1 2
34.29  2.615  48  1 1 4
42.89  2.108  34  2 0 0
51.99  1.759  37  1 1 10

=====

3.
Starting from DFT lattice parameters and positions (PBE), the powder diffractogram of Cd4CuRh was computed for Cu Kα (λ = 1.5418 Å).

Crystal structure
a = 6.0042 Å, b = 9.8921 Å, c = 15.4343 Å
α = 90.00°, β = 90.00°, γ = 90.00°
Space group Fddd (No. 70, origin choice 2)
Inequivalent atoms, fractional coordinates:
Cd 0.1237 0.3735 0.0310
Cu 0.1250 0.1250 0.6250
Rh 0.1250 0.1250 0.1250

Main lines, in order of rising 2θ (2θ = 10–90°):
2θ (°)  d_spacing  intensity  (hkl)
31.99  2.798  53  2 0 2
34.96  2.566  28  2 2 0
36.33  2.473  62  0 4 0
39.49  2.282  87  0 2 6
42.29  2.137  100  2 2 4
49.17  1.853  31  2 4 2